[1]
For Rb12TlCd6, a structure optimized by DFT (PBE) gives the theoretical powder diffractogram in this record (Cu Kα X-rays).

Structural model:
```
19
Lattice="-6.4576 6.4576 6.4576 6.4576 -6.4576 6.4576 6.4576 6.4576 -6.4576" Properties=species:S:1:pos:R:3 pbc="T T T"
Rb 6.4576 -2.7369 4.0729
Rb 3.7207 2.3847 0.0000
Rb 9.1946 2.3847 0.0000
Rb 4.0729 6.4576 -2.7369
Rb 2.3847 0.0000 3.7207
Rb 0.0000 3.7207 2.3847
Rb 6.4576 2.7369 4.0729
Rb 4.0729 6.4576 2.7369
Rb 2.3847 0.0000 9.1946
Rb -2.7369 4.0729 6.4576
Rb 2.7369 4.0729 6.4576
Rb 0.0000 9.1946 2.3847
Tl 0.0000 0.0000 0.0000
Cd 6.4576 0.0000 1.4813
Cd 6.4576 4.9763 0.0000
Cd 1.4813 6.4576 0.0000
Cd 4.9763 0.0000 6.4576
Cd 0.0000 1.4813 6.4576
Cd 0.0000 6.4576 4.9763
```

Top 10 peaks for 2θ = 10–80°, sorted by position:
- 6.458 Å, 13.71°, I = 28
- 3.728 Å, 23.87°, I = 36
- 3.452 Å, 25.81°, I = 100
- 3.229 Å, 27.63°, I = 21
- 3.044 Å, 29.34°, I = 22
- 2.533 Å, 35.44°, I = 37
- 2.215 Å, 40.74°, I = 17
- 2.095 Å, 43.18°, I = 18
- 1.993 Å, 45.52°, I = 17
- 1.826 Å, 49.93°, I = 21

***

[2]
For DyTm2MgTl4, a structure optimized by DFT (PBE) gives the theoretical powder diffractogram in this record (Cu Kα X-rays).

Structural model:
```
8
Lattice="2.6141 1.5092 8.8440 -2.6141 1.5092 8.8440 0.0000 -3.0185 8.8440" Properties=species:S:1:pos:R:3 pbc="T T T"
Dy 0.0000 0.0000 0.0000
Tm 0.0000 0.0000 6.5002
Tm 0.0000 0.0000 20.0319
Mg 0.0000 0.0000 13.2660
Tl 0.0000 0.0000 3.3190
Tl 0.0000 0.0000 9.9896
Tl 0.0000 0.0000 16.5425
Tl 0.0000 0.0000 23.2131
```

Top 10 peaks for 2θ = 10–80°, sorted by position:
- 3.740 Å, 23.79°, I = 10
- 3.444 Å, 25.87°, I = 5
- 2.676 Å, 33.49°, I = 100
- 2.614 Å, 34.30°, I = 96
- 1.870 Å, 48.70°, I = 35
- 1.557 Å, 59.35°, I = 19
- 1.521 Å, 60.92°, I = 37
- 1.509 Å, 61.43°, I = 18
- 1.338 Å, 70.38°, I = 11
- 1.307 Å, 72.29°, I = 11

***

[3]
For Re4B2Mo, a structure optimized by DFT (PBE) gives the theoretical powder diffractogram in this record (Cu Kα X-rays).

Structural model:
```
14
Lattice="6.1821 0.0000 0.0000 0.0000 4.9487 0.0000 -2.3618 0.0000 5.8413" Properties=species:S:1:pos:R:3 pbc="T T T"
Re -0.4702 1.2372 2.8255
Re 0.4152 3.7115 1.4760
Re -0.5186 2.5021 5.2759
Re -0.5186 4.9209 5.2759
Re 4.3389 0.0277 0.5654
Re 4.3389 2.4466 0.5654
Re 3.4051 1.2372 4.3653
Re 4.2905 3.7115 3.0158
B 0.2627 1.2372 0.7013
B 1.2056 1.2372 4.3402
B 2.6147 3.7115 1.5011
B 3.5576 3.7115 5.1401
Mo 2.1905 1.2372 2.0265
Mo 1.6299 3.7115 3.8148
```

Top 10 peaks for 2θ = 10–80°, sorted by position:
- 3.118 Å, 28.63°, I = 26
- 2.852 Å, 31.37°, I = 35
- 2.607 Å, 34.40°, I = 37
- 2.293 Å, 39.30°, I = 54
- 2.279 Å, 39.55°, I = 100
- 2.260 Å, 39.90°, I = 44
- 2.232 Å, 40.41°, I = 25
- 2.099 Å, 43.10°, I = 48
- 2.018 Å, 44.91°, I = 36
- 1.938 Å, 46.88°, I = 26

***

[4]
For TbSi2Pt5Au, a structure optimized by DFT (PBE) gives the theoretical powder diffractogram in this record (Cu Kα X-rays).

Structural model:
```
9
Lattice="4.0201 0.0000 0.0000 0.0000 4.0201 0.0000 0.0000 0.0000 11.0340" Properties=species:S:1:pos:R:3 pbc="T T T"
Tb 0.0000 0.0000 0.0000
Si 2.0101 2.0101 2.3441
Si 2.0101 2.0101 8.6899
Pt 0.0000 2.0101 3.5598
Pt 0.0000 2.0101 7.4742
Pt 2.0101 0.0000 3.5598
Pt 2.0101 0.0000 7.4742
Pt 2.0101 2.0101 0.0000
Au 0.0000 0.0000 5.5170
```

Top 10 peaks for 2θ = 10–80°, sorted by position:
- 3.678 Å, 24.20°, I = 53
- 2.754 Å, 32.52°, I = 39
- 2.527 Å, 35.53°, I = 100
- 2.249 Å, 40.09°, I = 31
- 2.010 Å, 45.11°, I = 52
- 1.980 Å, 45.84°, I = 33
- 1.764 Å, 51.83°, I = 28
- 1.743 Å, 52.50°, I = 22
- 1.357 Å, 69.25°, I = 24
- 1.239 Å, 76.97°, I = 22

***

[5]
For Rb3Mo2Cl9, a structure optimized by DFT (PBE) gives the theoretical powder diffractogram in this record (Cu Kα X-rays).

Structural model:
```
28
Lattice="7.3143 0.0000 0.0000 -3.6571 6.3343 0.0000 0.0000 0.0000 17.9036" Properties=species:S:1:pos:R:3 pbc="T T T"
Rb 0.0000 0.0000 4.4759
Rb 0.0000 0.0000 13.4277
Rb 0.0000 4.2229 1.1590
Rb 0.0000 4.2229 7.7928
Rb 3.6571 2.1114 10.1108
Rb 3.6571 2.1114 16.7446
Mo 0.0000 4.2229 12.0377
Mo 0.0000 4.2229 14.8177
Mo 3.6571 2.1114 3.0859
Mo 3.6571 2.1114 5.8659
Cl -1.7903 3.1892 13.4277
Cl 0.0000 2.2406 10.6543
Cl 0.0000 2.2406 16.2011
Cl -1.7167 5.2140 10.6543
Cl -1.7167 5.2140 16.2011
Cl 1.9404 1.1203 1.7025
Cl 1.9404 1.1203 7.2493
Cl 1.7903 3.1892 13.4277
Cl 0.0000 6.2902 13.4277
Cl 3.6571 0.0441 4.4759
Cl 1.8668 3.1451 4.4759
Cl 1.7167 5.2140 10.6543
Cl 1.7167 5.2140 16.2011
Cl 5.3738 1.1203 1.7025
Cl 5.3738 1.1203 7.2493
Cl 3.6571 4.0937 1.7025
Cl 3.6571 4.0937 7.2493
Cl 5.4475 3.1451 4.4759
```

Top 10 peaks for 2θ = 10–80°, sorted by position:
- 6.334 Å, 13.98°, I = 37
- 5.972 Å, 14.83°, I = 94
- 3.657 Å, 24.34°, I = 100
- 3.117 Å, 28.64°, I = 63
- 2.985 Å, 29.93°, I = 68
- 2.798 Å, 31.99°, I = 86
- 2.585 Å, 34.70°, I = 58
- 2.372 Å, 37.92°, I = 52
- 1.990 Å, 45.58°, I = 59
- 1.828 Å, 49.88°, I = 81

***

[6]
For Ac2Zn6NiIr, a structure optimized by DFT (PBE) gives the theoretical powder diffractogram in this record (Cu Kα X-rays).

Structural model:
```
10
Lattice="-3.3652 3.3717 4.7643 3.3652 -3.3717 4.7643 3.3652 3.3717 -4.7643" Properties=species:S:1:pos:R:3 pbc="T T T"
Ac 0.0000 0.0000 2.3825
Ac 0.0000 0.0000 7.1462
Zn 1.6321 1.7355 0.0000
Zn 1.7331 -1.6362 4.7643
Zn 3.3652 0.0000 2.4516
Zn 0.0000 3.3717 2.3127
Zn 1.6321 5.0080 0.0000
Zn 1.7331 1.6362 4.7643
Ni 0.0000 3.3717 0.0000
Ir 3.3652 0.0000 0.0000
```

Top 10 peaks for 2θ = 10–80°, sorted by position:
- 3.369 Å, 26.46°, I = 100
- 2.750 Å, 32.55°, I = 49
- 2.382 Å, 37.77°, I = 82
- 1.945 Å, 46.70°, I = 44
- 1.685 Å, 54.47°, I = 47
- 1.506 Å, 61.56°, I = 20
- 1.436 Å, 64.92°, I = 19
- 1.376 Å, 68.14°, I = 9
- 1.374 Å, 68.24°, I = 9
- 1.274 Å, 74.50°, I = 16

***

Repeat the third record exactly.
For Re4B2Mo, a structure optimized by DFT (PBE) gives the theoretical powder diffractogram in this record (Cu Kα X-rays).

Structural model:
```
14
Lattice="6.1821 0.0000 0.0000 0.0000 4.9487 0.0000 -2.3618 0.0000 5.8413" Properties=species:S:1:pos:R:3 pbc="T T T"
Re -0.4702 1.2372 2.8255
Re 0.4152 3.7115 1.4760
Re -0.5186 2.5021 5.2759
Re -0.5186 4.9209 5.2759
Re 4.3389 0.0277 0.5654
Re 4.3389 2.4466 0.5654
Re 3.4051 1.2372 4.3653
Re 4.2905 3.7115 3.0158
B 0.2627 1.2372 0.7013
B 1.2056 1.2372 4.3402
B 2.6147 3.7115 1.5011
B 3.5576 3.7115 5.1401
Mo 2.1905 1.2372 2.0265
Mo 1.6299 3.7115 3.8148
```

Top 10 peaks for 2θ = 10–80°, sorted by position:
- 3.118 Å, 28.63°, I = 26
- 2.852 Å, 31.37°, I = 35
- 2.607 Å, 34.40°, I = 37
- 2.293 Å, 39.30°, I = 54
- 2.279 Å, 39.55°, I = 100
- 2.260 Å, 39.90°, I = 44
- 2.232 Å, 40.41°, I = 25
- 2.099 Å, 43.10°, I = 48
- 2.018 Å, 44.91°, I = 36
- 1.938 Å, 46.88°, I = 26